Entry 1:
Diffraction record for Sm2MgS4. The X-ray powder pattern is calculated, not measured: it uses DFT lattice parameters and positions (GGA-PBE) and Cu Kα, 1.54184 Å.
Neutral-atom scattering factors, no anomalous dispersion.

```
56
Lattice="12.9199 0.0000 0.0000 0.0000 7.7278 0.0000 0.0000 0.0000 12.9495" Properties=species:S:1:pos:R:3 pbc="T T T"
Sm 1.4140 0.8901 0.0000
Sm 1.6418 4.7664 4.6431
Sm 1.7344 2.8583 8.9491
Sm 1.7431 6.7230 8.9612
Sm 4.7168 6.7230 2.4864
Sm 4.7256 2.8583 2.4744
Sm 4.8182 4.7664 11.1179
Sm 5.0460 0.8901 6.4748
Sm 7.8739 6.8377 0.0000
Sm 8.1018 2.9613 4.6431
Sm 8.1944 4.8695 8.9491
Sm 8.2031 1.0048 8.9612
Sm 11.1768 1.0048 2.4864
Sm 11.1855 4.8695 2.4744
Sm 11.2781 2.9613 11.1179
Sm 11.5060 6.8377 6.4748
Mg 1.4351 4.7575 12.8487
Mg 1.6254 0.9300 4.7149
Mg 4.8346 0.9300 11.1896
Mg 5.0248 4.7575 6.3740
Mg 7.8951 2.9703 12.8487
Mg 8.0853 6.7978 4.7149
Mg 11.2946 6.7978 11.1896
Mg 11.4848 2.9703 6.3740
S 0.1541 0.9275 10.4364
S 0.3069 4.8501 10.5729
S 0.3884 4.7897 7.1900
S 0.5785 0.9767 7.0698
S 2.7239 0.9239 2.4184
S 2.7306 4.7840 2.1022
S 2.9905 2.8350 11.7560
S 3.0095 6.7181 11.7827
S 3.4505 6.7181 5.3079
S 3.4694 2.8350 5.2813
S 3.7361 0.9239 8.8931
S 3.7293 4.7840 8.5769
S 5.8814 0.9767 0.5951
S 6.0716 4.7897 0.7153
S 6.1531 4.8501 4.0981
S 6.3059 0.9275 3.9616
S 6.6140 6.8003 10.4364
S 6.7669 2.8777 10.5729
S 6.8483 2.9381 7.1900
S 7.0385 6.7511 7.0698
S 9.1906 2.9438 2.1022
S 9.1839 6.8039 2.4184
S 9.4505 4.8927 11.7560
S 9.4694 1.0097 11.7827
S 9.9105 1.0097 5.3079
S 9.9294 4.8927 5.2813
S 10.1893 2.9438 8.5769
S 10.1961 6.8039 8.8931
S 12.3414 6.7511 0.5951
S 12.5316 2.9381 0.7153
S 12.6130 2.8777 4.0981
S 12.7659 6.8003 3.9616
```

Top 10 peaks for 2θ = 10–90°, by angle:
| d [Å] | Position (°2θ) | Rel. int. | index |
| --- | --- | --- | --- |
| 4.630 | 19.17 | 38 | 2 1 1 |
| 3.589 | 24.81 | 100 | 2 0 3 |
| 3.559 | 25.02 | 34 | 1 2 1 |
| 3.231 | 27.60 | 29 | 4 0 0 |
| 3.214 | 27.76 | 31 | 1 2 2 |
| 2.808 | 31.87 | 77 | 3 2 1 |
| 2.628 | 34.11 | 61 | 3 2 2 |
| 2.122 | 42.60 | 39 | 1 2 5 |
| 2.039 | 44.44 | 28 | 5 2 2 |
| 1.926 | 47.19 | 51 | 6 0 3 |

Entry 2:
Diffraction record for ThSi3Ru. The X-ray powder pattern is calculated, not measured: it uses DFT lattice parameters and positions (GGA-PBE) and Cu Kα, 1.54184 Å.
Neutral-atom scattering factors, no anomalous dispersion.

```
10
Lattice="4.2439 0.0000 0.0000 0.0000 4.2439 0.0000 0.0000 0.0000 9.8883" Properties=species:S:1:pos:R:3 pbc="T T T"
Th 0.0000 0.0000 0.0000
Th 2.1219 2.1219 4.9442
Si 0.0000 0.0000 4.1437
Si 0.0000 2.1219 2.6259
Si 0.0000 2.1219 7.5701
Si 2.1219 0.0000 2.6259
Si 2.1219 0.0000 7.5701
Si 2.1219 2.1219 9.0879
Ru 0.0000 0.0000 6.5014
Ru 2.1219 2.1219 1.5572
```

Top 10 peaks for 2θ = 10–90°, by angle:
| d [Å] | Position (°2θ) | Rel. int. | index |
| --- | --- | --- | --- |
| 4.944 | 17.94 | 25 | 0 0 2 |
| 3.900 | 22.80 | 65 | 1 0 1 |
| 3.001 | 29.77 | 62 | 1 1 0 |
| 2.603 | 34.45 | 100 | 1 0 3 |
| 2.565 | 34.98 | 65 | 1 1 2 |
| 2.122 | 42.61 | 45 | 2 0 0 |
| 1.864 | 48.86 | 19 | 2 1 1 |
| 1.793 | 50.94 | 20 | 1 0 5 |
| 1.645 | 55.90 | 51 | 2 1 3 |
| 1.445 | 64.51 | 18 | 1 1 6 |